[1]
# Zn4Cu3Au5
Calculated XRD peak list, Cu Kα. Input: DFT lattice parameters and positions (PBE).
Intensities are scaled so that the largest is 100.

Largest 8 diffraction maxima, low angle first, 15° ≤ 2θ ≤ 90°:
2θ/deg, I (rel.)
27.58, 65
28.92, 75
34.09, 41
37.59, 100
40.88, 51
41.14, 47
42.89, 55
45.03, 52

```
data_Zn4Cu3Au5
_chemical_formula_sum 'Zn4 Cu3 Au5'
_symmetry_space_group_name_H-M 'P 1'
_symmetry_Int_Tables_number 1
_cell_length_a 6.760
_cell_length_b 6.760
_cell_length_c 9.425
_cell_angle_alpha 128.46
_cell_angle_beta 128.46
_cell_angle_gamma 41.46
loop_
_symmetry_equiv_pos_as_xyz
'x,y,z'
loop_
_atom_site_label
_atom_site_type_symbol
_atom_site_fract_x
_atom_site_fract_y
_atom_site_fract_z
Zn1 Zn 0.040 0.040 0.313
Zn2 Zn 0.221 0.221 0.828
Zn3 Zn 0.779 0.779 0.172
Zn4 Zn 0.960 0.960 0.687
Cu1 Cu 0.266 0.266 0.318
Cu2 Cu 0.500 0.500 0.000
Cu3 Cu 0.734 0.734 0.682
Au1 Au 0.000 0.000 0.000
Au2 Au 0.302 0.302 0.630
Au3 Au 0.408 0.408 0.213
Au4 Au 0.592 0.592 0.787
Au5 Au 0.698 0.698 0.370
```


[2]
# Zn8Cu3Au3
Calculated XRD peak list, Cu Kα. Input: DFT lattice parameters and positions (PBE).
Intensities are scaled so that the largest is 100.

Largest 8 diffraction maxima, low angle first, 15° ≤ 2θ ≤ 90°:
2θ/deg, I (rel.)
16.88, 47
28.37, 44
32.83, 65
39.89, 100
40.04, 56
42.56, 67
42.97, 56
43.49, 45

```
data_Zn8Cu3Au3
_chemical_formula_sum 'Zn8 Cu3 Au3'
_symmetry_space_group_name_H-M 'P 1'
_symmetry_Int_Tables_number 1
_cell_length_a 4.256
_cell_length_b 6.873
_cell_length_c 7.787
_cell_angle_alpha 92.70
_cell_angle_beta 98.49
_cell_angle_gamma 103.97
loop_
_symmetry_equiv_pos_as_xyz
'x,y,z'
loop_
_atom_site_label
_atom_site_type_symbol
_atom_site_fract_x
_atom_site_fract_y
_atom_site_fract_z
Zn1 Zn 0.004 0.187 0.488
Zn2 Zn 0.098 0.503 0.723
Zn3 Zn 0.320 0.629 0.065
Zn4 Zn 0.486 0.937 0.330
Zn5 Zn 0.514 0.063 0.670
Zn6 Zn 0.680 0.371 0.935
Zn7 Zn 0.902 0.497 0.277
Zn8 Zn 0.996 0.813 0.512
Cu1 Cu 0.073 0.154 0.838
Cu2 Cu 0.500 0.000 0.000
Cu3 Cu 0.927 0.846 0.162
Au1 Au 0.254 0.249 0.179
Au2 Au 0.500 0.500 0.500
Au3 Au 0.746 0.751 0.821
```


[3]
# Zn2Cu2Au
Calculated XRD peak list, Cu Kα. Input: DFT lattice parameters and positions (PBE).
Intensities are scaled so that the largest is 100.

Largest 8 diffraction maxima, low angle first, 15° ≤ 2θ ≤ 90°:
2θ/deg, I (rel.)
27.41, 18
27.81, 22
40.15, 100
41.33, 93
44.88, 36
47.70, 33
49.55, 27
67.57, 20

```
data_Zn2Cu2Au
_chemical_formula_sum 'Zn4 Cu4 Au2'
_symmetry_space_group_name_H-M 'P 1'
_symmetry_Int_Tables_number 1
_cell_length_a 8.252
_cell_length_b 3.813
_cell_length_c 5.962
_cell_angle_alpha 90.00
_cell_angle_beta 130.89
_cell_angle_gamma 90.00
loop_
_symmetry_equiv_pos_as_xyz
'x,y,z'
loop_
_atom_site_label
_atom_site_type_symbol
_atom_site_fract_x
_atom_site_fract_y
_atom_site_fract_z
Zn1 Zn 0.089 0.000 0.280
Zn2 Zn 0.411 0.500 0.720
Zn3 Zn 0.589 0.500 0.280
Zn4 Zn 0.911 0.000 0.720
Cu1 Cu 0.197 0.500 0.097
Cu2 Cu 0.303 0.000 0.903
Cu3 Cu 0.697 0.000 0.097
Cu4 Cu 0.803 0.500 0.903
Au1 Au 0.000 0.500 0.500
Au2 Au 0.500 0.000 0.500
```


Repeat the first record exactly.
# Zn4Cu3Au5
Calculated XRD peak list, Cu Kα. Input: DFT lattice parameters and positions (PBE).
Intensities are scaled so that the largest is 100.

Largest 8 diffraction maxima, low angle first, 15° ≤ 2θ ≤ 90°:
2θ/deg, I (rel.)
27.58, 65
28.92, 75
34.09, 41
37.59, 100
40.88, 51
41.14, 47
42.89, 55
45.03, 52

```
data_Zn4Cu3Au5
_chemical_formula_sum 'Zn4 Cu3 Au5'
_symmetry_space_group_name_H-M 'P 1'
_symmetry_Int_Tables_number 1
_cell_length_a 6.760
_cell_length_b 6.760
_cell_length_c 9.425
_cell_angle_alpha 128.46
_cell_angle_beta 128.46
_cell_angle_gamma 41.46
loop_
_symmetry_equiv_pos_as_xyz
'x,y,z'
loop_
_atom_site_label
_atom_site_type_symbol
_atom_site_fract_x
_atom_site_fract_y
_atom_site_fract_z
Zn1 Zn 0.040 0.040 0.313
Zn2 Zn 0.221 0.221 0.828
Zn3 Zn 0.779 0.779 0.172
Zn4 Zn 0.960 0.960 0.687
Cu1 Cu 0.266 0.266 0.318
Cu2 Cu 0.500 0.500 0.000
Cu3 Cu 0.734 0.734 0.682
Au1 Au 0.000 0.000 0.000
Au2 Au 0.302 0.302 0.630
Au3 Au 0.408 0.408 0.213
Au4 Au 0.592 0.592 0.787
Au5 Au 0.698 0.698 0.370
```